[1]
Diffraction record for MgV4As2O13. The powder diffractogram is simulated, not measured: it uses a DFT-relaxed cell (GGA+U, the Materials Project) and Cu Kα X-rays.
Kinematic intensities with the Lorentz-polarization factor, no thermal factor.

Largest 10 diffraction maxima, by angle, 2θ = 15–90°:
2θ = 22.1°, I 24, hkl 1 -1 0; 2θ = 24.6°, I 21, hkl 0 1 -2; 2θ = 25.0°, I 70, hkl -1 1 1; 2θ = 26.3°, I 100, hkl 1 1 0; 2θ = 28.1°, I 22, hkl 0 1 2; 2θ = 28.8°, I 42, hkl 1 -1 2; 2θ = 30.4°, I 25, hkl 0 0 3; 2θ = 32.9°, I 17, hkl 0 1 -3; 2θ = 35.6°, I 21, hkl 1 0 3; 2θ = 36.3°, I 20, hkl 2 0 -1

Structural model:
Cell lengths 5.195, 5.372, 8.903 Å; angles 97.31, 90.26, 99.84 degrees
Space group P1 (No. 1)
Unique sites:
Mg: 0.000 0.000 0.000 [1 per cell]
V: 0.177 0.600 0.103 [1 per cell]
V: 0.409 0.444 0.490 [1 per cell]
V: 0.575 0.258 0.172 [1 per cell]
V: 0.924 0.716 0.719 [1 per cell]
As: 0.496 0.197 0.817 [1 per cell]
As: 0.877 0.965 0.390 [1 per cell]
O: 0.017 0.641 0.912 [1 per cell]
O: 0.174 0.068 0.788 [1 per cell]
O: 0.177 0.101 0.466 [1 per cell]
O: 0.188 0.593 0.588 [1 per cell]
O: 0.367 0.966 0.113 [1 per cell]
O: 0.381 0.493 0.279 [1 per cell]
O: 0.478 0.403 0.986 [1 per cell]
O: 0.616 0.386 0.679 [1 per cell]
O: 0.678 0.194 0.377 [1 per cell]
O: 0.686 0.972 0.839 [1 per cell]
O: 0.732 0.759 0.516 [1 per cell]
O: 0.890 0.798 0.213 [1 per cell]
O: 0.920 0.297 0.120 [1 per cell]


[2]
Diffraction record for Fe3OF5. The powder diffractogram is simulated, not measured: it uses a DFT-relaxed cell (GGA+U, the Materials Project) and Cu Kα X-rays.
Kinematic intensities with the Lorentz-polarization factor, no thermal factor.

Largest 10 diffraction maxima, by angle, 2θ = 15–90°:
2θ = 26.2°, I 93, hkl 0 2 0; 2θ = 26.3°, I 100, hkl 2 0 -2; 2θ = 33.6°, I 100, hkl 1 1 2; 2θ = 38.5°, I 22, hkl 2 2 1; 2θ = 51.1°, I 61, hkl 1 3 2; 2θ = 51.2°, I 61, hkl 1 1 -4; 2θ = 53.8°, I 19, hkl 0 4 0; 2θ = 54.1°, I 17, hkl 4 0 -4; 2θ = 57.4°, I 18, hkl 4 0 2; 2θ = 65.1°, I 45, hkl 1 3 -4

Structural model:
Cell lengths 9.349, 6.814, 7.501 Å; angles 90.00, 111.29, 90.00 degrees
Space group C2/m (No. 12)
Unique sites:
Fe: 0.000 0.000 0.000 [2 per cell]
Fe: 0.000 0.000 0.500 [2 per cell]
Fe: 0.146 0.500 0.151 [4 per cell]
Fe: 0.164 0.500 0.673 [4 per cell]
O: 0.066 0.500 0.876 [4 per cell]
F: 0.000 0.298 0.500 [4 per cell]
F: 0.117 0.000 0.811 [4 per cell]
F: 0.164 0.199 0.176 [8 per cell]
F: 0.243 0.000 0.554 [4 per cell]